Theoretical X-ray diffraction stick pattern of Ti3Fe3Sb2O16 for Cu Kα, 1.54184 Å, from a structure optimized by DFT (GGA+U).

Peak list (6 most intense, 5 to 70 degrees two-theta, low angle first)
2θ 19.39, I 17.8; 2θ 19.54, I 100.0; 2θ 25.65, I 30.6; 2θ 33.62, I 16.7; 2θ 35.35, I 17.0; 2θ 35.59, I 38.5

Cell and atoms:
```
Ti3Fe3Sb2O16
1.0
5.2291 -2.9951 0.0000
5.2291 2.9951 0.0000
-0.0694 0.0000 9.3362
Ti Fe Sb O
3 3 2 16
Cartesian
0.0000 0.0000 0.0000
6.0250 1.4863 4.7116
6.0250 -1.4863 4.7116
3.4490 0.0000 4.7393
7.8362 1.4756 0.0753
7.8362 -1.4756 0.0753
5.1619 0.0000 2.1034
8.6138 0.0000 6.7916
4.1949 1.7147 8.1522
1.6526 0.0000 3.8594
1.6603 0.0000 8.5152
4.4666 1.3079 3.5025
5.9937 1.4636 1.0304
3.4598 0.0000 1.0813
5.2431 0.0000 5.7185
7.7708 1.4442 5.7083
6.6701 0.0000 3.5027
4.4666 -1.3079 3.5025
7.1237 0.0000 8.1723
4.1949 -1.7147 8.1522
5.9937 -1.4636 1.0304
8.7113 0.0000 1.0392
7.7708 -1.4442 5.7083
10.3043 0.0000 5.6782
```